For SmInNi17, a DFT-relaxed cell (GGA-PBE, Alexandria) gives the theoretical X-ray powder pattern in this record (Cu Kα (λ = 1.5418 Å)).

Largest 10 diffraction maxima, sorted by position, 2θ = 10–90°:
- 31.04°, rel. 26
- 37.70°, rel. 40
- 39.07°, rel. 31
- 43.81°, rel. 62
- 44.14°, rel. 100
- 45.10°, rel. 48
- 49.61°, rel. 32
- 64.69°, rel. 23
- 80.51°, rel. 17
- 82.61°, rel. 17

Structure:
a = 6.238 Å, b = 6.238 Å, c = 6.238 Å
α = 82.97°, β = 82.97°, γ = 82.97°
Fractional positions:
1 Sm 0.000 0.000 0.000
2 In 0.315 0.315 0.315
3 Ni 0.011 0.011 0.496
4 Ni 0.011 0.496 0.011
5 Ni 0.152 0.664 0.664
6 Ni 0.316 0.316 0.800
7 Ni 0.316 0.800 0.316
8 Ni 0.366 0.657 0.954
9 Ni 0.366 0.954 0.657
10 Ni 0.496 0.011 0.011
11 Ni 0.555 0.555 0.555
12 Ni 0.657 0.366 0.954
13 Ni 0.657 0.954 0.366
14 Ni 0.664 0.152 0.664
15 Ni 0.664 0.664 0.152
16 Ni 0.755 0.755 0.755
17 Ni 0.800 0.316 0.316
18 Ni 0.954 0.366 0.657
19 Ni 0.954 0.657 0.366